Entry 1:
Theoretical XRD peak list
Compound: SrAuN
Radiation: λ = 1.5418 Å (Cu Kα)
Structure: DFT lattice parameters and positions (GGA-PBE)
Intensities are scaled so that the largest is 100.

Principal peaks in the range 2θ = 10–90°, in order of rising 2θ:
(hkl)  two_theta  d/Å  I/Imax
0 1 0  10.37  8.534  47
0 0 1  20.64  4.304  63
1 0 -1  28.88  3.091  31
1 2 0  30.72  2.910  100
0 3 0  31.45  2.845  30
1 1 1  33.87  2.647  42
0 3 1  37.91  2.373  61
1 3 0  38.89  2.316  33

Structure:
Lattice parameters (Å, degrees): 4.011 8.534 4.327 90.00 96.00 90.00
Space group Pm (No. 6)
Asymmetric unit:
Sr (0.000, 0.000, 0.000) [1 per cell]
Sr (0.005, 0.500, 0.503) [1 per cell]
Au (0.505, 0.327, 0.003) [2 per cell]
N (0.402, 0.000, 0.593) [1 per cell]
N (0.597, 0.000, 0.407) [1 per cell]

Entry 2:
Theoretical XRD peak list
Compound: InS3Br3
Radiation: λ = 1.5418 Å (Cu Kα)
Structure: DFT lattice parameters and positions (GGA-PBE)
Intensities are scaled so that the largest is 100.

Principal peaks in the range 2θ = 10–90°, in order of rising 2θ:
(hkl)  two_theta  d/Å  I/Imax
1 0 0  11.73  7.543  77
1 1 0  13.10  6.757  64
0 1 1  13.25  6.684  84
1 0 1  14.66  6.041  45
1 0 -1  17.20  5.157  62
0 2 1  22.46  3.958  42
2 0 0  23.59  3.771  100
-2 2 2  43.51  2.080  46

Structure:
Lattice parameters (Å, degrees): 8.493 8.944 8.984 67.32 72.58 64.07
Space group P-1 (No. 2)
Asymmetric unit:
In (0.123, 0.308, 0.251) [2 per cell]
S (0.226, 0.575, 0.669) [2 per cell]
S (0.239, 0.804, 0.475) [2 per cell]
S (0.256, 0.584, 0.428) [2 per cell]
Br (0.191, 0.572, 0.049) [2 per cell]
Br (0.240, 0.052, 0.137) [2 per cell]
Br (0.244, 0.202, 0.513) [2 per cell]

Entry 3:
Theoretical XRD peak list
Compound: Pr2Zn3Cu12Rh
Radiation: λ = 1.5418 Å (Cu Kα)
Structure: DFT lattice parameters and positions (GGA-PBE)
Intensities are scaled so that the largest is 100.

Principal peaks in the range 2θ = 10–90°, in order of rising 2θ:
(hkl)  two_theta  d/Å  I/Imax
1 1 3  30.76  2.907  100
1 1 6  35.18  2.551  45
0 2 4  36.27  2.477  38
1 0 10  36.65  2.452  39
0 1 11  39.68  2.272  45
2 0 8  42.98  2.105  47
0 3 3  52.71  1.737  33
2 2 0  60.42  1.532  47

Structure:
Lattice parameters (Å, degrees): 6.1271 6.1271 27.6488 90.00 90.00 120.00
Space group R-3m (No. 166, hexagonal axes)
Asymmetric unit:
Pr (0.0000, 0.0000, 0.1493) [6 per cell]
Zn (0.0000, 0.5000, 0.0000) [9 per cell]
Cu (0.0502, 0.5251, 0.0941) [18 per cell]
Cu (0.0726, 0.5363, 0.6178) [18 per cell]
Rh (0.0000, 0.0000, 0.5000) [3 per cell]

Entry 4:
Theoretical XRD peak list
Compound: Ba3Sn2GePd6
Radiation: λ = 1.5418 Å (Cu Kα)
Structure: DFT lattice parameters and positions (GGA-PBE)
Intensities are scaled so that the largest is 100.

Principal peaks in the range 2θ = 10–90°, in order of rising 2θ:
(hkl)  two_theta  d/Å  I/Imax
0 0 1  10.40  8.509  45
0 1 2  26.10  3.415  36
1 1 0  26.98  3.305  48
0 2 1  33.02  2.713  43
0 1 3  35.32  2.541  43
2 0 2  37.88  2.375  100
1 2 2  47.12  1.929  26
2 2 0  55.61  1.653  29

Structure:
Lattice parameters (Å, degrees): 6.6106 6.6106 8.5089 90.00 90.00 120.00
Space group P-3m1 (No. 164)
Asymmetric unit:
Ba (0.0000, 0.0000, 0.0000) [1 per cell]
Ba (0.3333, 0.6667, 0.7114) [2 per cell]
Sn (0.3333, 0.6667, 0.1215) [2 per cell]
Ge (0.0000, 0.0000, 0.5000) [1 per cell]
Pd (0.1924, 0.3848, 0.3770) [6 per cell]

Entry 5:
Theoretical XRD peak list
Compound: Sr3Sc
Radiation: λ = 1.5418 Å (Cu Kα)
Structure: DFT lattice parameters and positions (GGA-PBE)
Intensities are scaled so that the largest is 100.

Principal peaks in the range 2θ = 10–90°, in order of rising 2θ:
(hkl)  two_theta  d/Å  I/Imax
1 0 0  25.82  3.450  26
0 0 4  27.57  3.236  21
1 0 2  29.34  3.044  100
1 0 4  38.13  2.360  13
1 1 0  45.54  1.992  21
1 1 4  54.06  1.696  19
2 0 2  55.10  1.667  16
2 1 2  74.18  1.278  13

Structure:
Lattice parameters (Å, degrees): 3.9837 3.9837 12.9433 90.00 90.00 120.00
Space group P-6m2 (No. 187)
Asymmetric unit:
Sr (0.0000, 0.0000, 0.0000) [1 per cell]
Sr (0.6667, 0.3333, 0.2765) [2 per cell]
Sc (0.0000, 0.0000, 0.5000) [1 per cell]

Entry 6:
Theoretical XRD peak list
Compound: Pr6Rh2Pb
Radiation: λ = 1.5418 Å (Cu Kα)
Structure: DFT lattice parameters and positions (GGA-PBE)
Intensities are scaled so that the largest is 100.

Principal peaks in the range 2θ = 10–90°, in order of rising 2θ:
(hkl)  two_theta  d/Å  I/Imax
3 1 0  28.95  3.084  29
2 2 2  30.25  2.954  100
2 1 3  32.01  2.796  47
1 3 2  32.37  2.766  89
2 3 1  33.19  2.699  43
3 2 1  33.82  2.650  29
4 0 0  37.05  2.427  24
5 3 2  57.19  1.611  50

Structure:
Lattice parameters (Å, degrees): 9.706 10.207 10.890 90.00 90.00 90.00
Space group Immm (No. 71)
Asymmetric unit:
Pr (0.000, 0.203, 0.232) [8 per cell]
Pr (0.190, 0.500, 0.171) [8 per cell]
Pr (0.205, 0.319, 0.500) [8 per cell]
Rh (0.000, 0.341, 0.000) [4 per cell]
Rh (0.000, 0.500, 0.368) [4 per cell]
Pb (0.000, 0.000, 0.000) [2 per cell]
Pb (0.000, 0.000, 0.500) [2 per cell]

Entry 7:
Theoretical XRD peak list
Compound: Ga6HgI12
Radiation: λ = 1.5418 Å (Cu Kα)
Structure: DFT lattice parameters and positions (GGA-PBE)
Intensities are scaled so that the largest is 100.

Principal peaks in the range 2θ = 10–90°, in order of rising 2θ:
(hkl)  two_theta  d/Å  I/Imax
1 3 1  25.82  3.451  70
4 -1 2  29.90  2.989  100
5 2 0  42.79  2.113  74
5 2 3  50.65  1.802  31
2 6 2  53.07  1.726  26
8 -2 4  62.11  1.494  12
9 1 2  70.45  1.337  33
6 5 4  78.35  1.220  12

Structure:
Lattice parameters (Å, degrees): 15.2490 15.2490 10.3402 90.00 90.00 120.00
Space group R-3 (No. 148, hexagonal axes)
Asymmetric unit:
Ga (0.0246, 0.4353, 0.1725) [18 per cell]
Hg (0.0000, 0.0000, 0.0000) [3 per cell]
I (0.0268, 0.4348, 0.6701) [18 per cell]
I (0.0559, 0.8743, 0.3385) [18 per cell]

Entry 8:
Theoretical XRD peak list
Compound: Al2InTe4
Radiation: λ = 1.5418 Å (Cu Kα)
Structure: DFT lattice parameters and positions (GGA-PBE)
Intensities are scaled so that the largest is 100.

Principal peaks in the range 2θ = 10–90°, in order of rising 2θ:
(hkl)  two_theta  d/Å  I/Imax
1 0 1  19.43  4.568  11
1 1 1  24.44  3.641  100
2 0 0  29.58  3.020  19
2 0 2  39.46  2.284  42
2 2 0  42.38  2.133  18
1 1 3  44.29  2.045  18
3 1 1  49.53  1.840  24
4 0 0  61.46  1.509  11

Structure:
Lattice parameters (Å, degrees): 6.033 6.033 6.992 90.00 90.00 90.00
Space group P-42m (No. 111)
Asymmetric unit:
Al (0.000, 0.500, 0.000) [2 per cell]
In (0.000, 0.000, 0.500) [1 per cell]
Te (0.275, 0.275, 0.771) [4 per cell]